Computed X-ray powder pattern of BaSbO for Cu Kα, 1.54184 Å, from a GGA-PBE-relaxed structure.
Kinematic intensities with the Lorentz-polarization factor, no thermal factor.

Top 8 peaks for 2θ = 10–80°, low angle first:
2theta	I/Imax	h k l
26.92	46	1 1 0
27.85	100	0 2 1
33.57	99	1 1 1
39.03	33	1 3 0
39.61	22	0 4 0
39.98	26	0 0 2
59.46	24	2 2 1
60.74	24	1 5 1

```
data_BaSbO
_symmetry_space_group_name_H-M 'P m c 21'
_symmetry_Int_Tables_number 26
_cell_length_a 3.556
_cell_length_b 9.101
_cell_length_c 4.510
_cell_angle_alpha 90.00
_cell_angle_beta 90.00
_cell_angle_gamma 90.00
loop_
_symmetry_equiv_pos_as_xyz
'x,y,z'
'-x,-y,z+1/2'
'-x,y,z'
'x,-y,z+1/2'
loop_
_atom_site_label
_atom_site_fract_x
_atom_site_fract_y
_atom_site_fract_z
Ba1 0.000 0.149 0.000
Sb1 0.500 0.370 0.501
O1 0.500 0.125 0.495
```